Structure and theoretical X-ray powder pattern of Rb2SrNiH6 (a crystal structure in Alexandria, relaxed with GGA-PBE; Cu Kα X-rays).
Lines closer than 0.1° are merged.

Structural model:
abc: 6.0832 6.0832 6.1923
angles: 90.00 90.00 120.00
Space group P-3m1 (No. 164)
Asymmetric unit:
Rb  0.3333  0.6667  0.1354 [2 per cell]
Sr  0.0000  0.0000  0.5000 [1 per cell]
Ni  0.0000  0.0000  0.0000 [1 per cell]
H  0.1208  0.2417  0.8493 [6 per cell]

Principal peaks in the range 2θ from 10° to 80°, by intensity:
hkl 1 1 0, 29.4°, intensity 100
hkl 1 0 1, 22.2°, intensity 70
hkl 0 1 2, 33.6°, intensity 64
hkl 1 2 2, 54.8°, intensity 30
hkl 2 0 2, 45.2°, intensity 28
hkl 0 2 1, 37.1°, intensity 20
hkl 1 0 0, 16.8°, intensity 20
hkl 3 0 0, 52.1°, intensity 19
hkl 2 1 1, 48.0°, intensity 18
hkl 0 0 1, 14.3°, intensity 17

Structure and theoretical X-ray powder pattern of Tb4Y7Tm2 (a crystal structure in Alexandria, relaxed with GGA-PBE; Cu Kα X-rays).
Lines closer than 0.1° are merged.

Structural model:
abc: 6.149 7.945 9.414
angles: 65.09 83.81 82.58
Space group P-1 (No. 2)
Asymmetric unit:
Tb  0.040  0.425  0.346 [2 per cell]
Tb  0.193  0.117  0.732 [2 per cell]
Y  0.114  0.268  0.038 [2 per cell]
Y  0.268  0.962  0.423 [2 per cell]
Y  0.423  0.653  0.808 [2 per cell]
Y  0.500  0.500  0.500 [1 per cell]
Tm  0.347  0.809  0.115 [2 per cell]

Principal peaks in the range 2θ from 10° to 80°, by intensity:
hkl 2 1 0, 30.8°, intensity 100
hkl 1 3 2, 35.7°, intensity 50
hkl 4 0 1, 61.2°, intensity 28
hkl 0 3 5, 51.4°, intensity 24
hkl 0 1 6, 61.1°, intensity 14
hkl 2 2 6, 64.2°, intensity 9
hkl 1 -1 4, 51.3°, intensity 6
hkl 3 2 3, 51.5°, intensity 6
hkl 0 1 1, 12.4°, intensity 4
hkl 4 2 0, 64.2°, intensity 3